The following is a calculated X-ray powder pattern of CsVHgF6. It was derived from a cell relaxed with GGA+U, using Cu Kα, 1.54184 Å.

Cell and atoms:
```
data_CsVHgF6
_symmetry_space_group_name_H-M 'P 1'
_symmetry_Int_Tables_number 1
_symmetry_space_group_name_Hall 'P 1'
_cell_length_a 5.1848
_cell_length_b 6.3259
_cell_length_c 6.4845
_cell_angle_alpha 61.37
_cell_angle_beta 88.94
_cell_angle_gamma 89.31
loop_
_atom_site_label
_atom_site_type_symbol
_atom_site_fract_x
_atom_site_fract_y
_atom_site_fract_z
Cs1 Cs 0.0000 0.0000 0.0000
V1 V 0.6510 0.6674 0.6623
Hg1 Hg 0.3545 0.3363 0.3245
F1 F 0.4504 0.8096 0.7960
F2 F 0.4518 0.3971 0.7961
F3 F 0.4555 0.7985 0.3984
F4 F 0.8520 0.5381 0.9237
F5 F 0.8556 0.9341 0.5309
F6 F 0.8569 0.5261 0.5318
```

The 10 most intense peaks (10° ≤ 2θ ≤ 90°), by angle:
2θ/deg, I/Imax, h k l
23.37, 100.0, 1 1 1
23.52, 47.2, 1 -1 0
27.29, 29.5, 0 1 -1
27.54, 28.6, 0 1 2
28.22, 26.6, 0 2 1
35.78, 22.8, 1 0 2
36.67, 27.1, 1 2 0
37.25, 20.7, -1 2 2
38.28, 13.4, 2 1 0
47.79, 13.3, 2 2 2